This entry pairs a crystal structure of MgAl2VO6 with its calculated PXRD pattern. Radiation: Cu Kα. Structure: the GGA+U geometry in Alexandria.
Kinematic intensities with the Lorentz-polarization factor, no thermal factor.

Structural model:
```
data_MgAl2VO6
_chemical_formula_sum 'Mg1 Al2 V1 O6'
_cell_length_a 4.908
_cell_length_b 4.976
_cell_length_c 5.289
_cell_angle_alpha 62.02
_cell_angle_beta 89.63
_cell_angle_gamma 60.69
_space_group_name_H-M_alt 'P 1'
_space_group_IT_number 1
loop_
_space_group_symop_operation_xyz
'x,y,z'
loop_
_atom_site_label
_atom_site_type_symbol
_atom_site_fract_x
_atom_site_fract_y
_atom_site_fract_z
Mg1 Mg 0.000 0.000 0.000
Al1 Al 0.294 0.421 0.866
Al2 Al 0.787 0.433 0.366
V1 V 0.494 0.013 0.474
O1 O 0.082 0.502 0.165
O2 O 0.209 0.906 0.660
O3 O 0.426 0.912 0.166
O4 O 0.580 0.244 0.660
O5 O 0.672 0.255 0.172
O6 O 0.908 0.538 0.652
```

Most intense lines, 2θ from 10° to 90°, by angle:
24.72°, I = 33.2
33.69°, I = 53.2
34.04°, I = 100.0
35.98°, I = 31.7
41.70°, I = 38.2
64.45°, I = 39.8